No. 1
The following is a calculated powder XRD pattern of PdN2. It was derived from a DFT-relaxed cell (GGA-PBE, the Materials Project), using Cu Kα.
Intensities are scaled so that the largest is 1000.

The 10 most intense peaks (10 to 80 degrees two-theta), in order of rising 2θ:
- 4.174 Å, I 992, hkl 0 1 1
- 3.741 Å, I 1000, hkl 0 0 2
- 2.757 Å, I 862, hkl 1 0 1
- 2.555 Å, I 289, hkl 1 1 0
- 2.515 Å, I 226, hkl 0 2 0
- 2.234 Å, I 200, hkl 0 1 3
- 2.110 Å, I 341, hkl 1 1 2
- 2.087 Å, I 259, hkl 0 2 2
- 1.909 Å, I 273, hkl 1 0 3
- 1.858 Å, I 358, hkl 1 2 1

Cell and atoms:
Cell: 2.966 5.029 7.482 Å, 90.00 90.00 90.00°
Fractional positions:
Pd 0.000 0.000 0.000
Pd 0.500 0.500 0.500
N 0.000 0.387 0.000
N 0.000 0.613 0.000
N 0.500 0.113 0.500
N 0.500 0.887 0.500



No. 2
The following is a calculated powder XRD pattern of PdN. It was derived from a DFT-relaxed cell (GGA-PBE, the Materials Project), using Cu Kα.
Intensities are scaled so that the largest is 1000.

The 5 most intense peaks (10 to 80 degrees two-theta), in order of rising 2θ:
- 2.565 Å, I 1000, hkl 1 1 1
- 2.221 Å, I 806, hkl 2 0 0
- 1.571 Å, I 514, hkl 2 2 0
- 1.339 Å, I 408, hkl 3 1 1
- 1.282 Å, I 168, hkl 2 2 2

Cell and atoms:
Cell: 4.443 4.443 4.443 Å, 90.00 90.00 90.00°
Fractional positions:
Pd 0.000 0.000 0.000
Pd 0.000 0.500 0.500
Pd 0.500 0.000 0.500
Pd 0.500 0.500 0.000
N 0.000 0.000 0.500
N 0.000 0.500 0.000
N 0.500 0.000 0.000
N 0.500 0.500 0.500



No. 3
The following is a calculated powder XRD pattern of PdN2. It was derived from a DFT-relaxed cell (GGA-PBE, the Materials Project), using Cu Kα.
Intensities are scaled so that the largest is 1000.

The 9 most intense peaks (10 to 80 degrees two-theta), in order of rising 2θ:
- 2.966 Å, I 943, hkl 1 1 1
- 2.568 Å, I 1000, hkl 2 0 0
- 2.297 Å, I 6, hkl 2 1 0
- 2.097 Å, I 7, hkl 2 1 1
- 1.816 Å, I 615, hkl 2 2 0
- 1.549 Å, I 554, hkl 3 1 1
- 1.483 Å, I 194, hkl 2 2 2
- 1.373 Å, I 6, hkl 3 2 1
- 1.284 Å, I 76, hkl 4 0 0

Cell and atoms:
Cell: 5.137 5.137 5.137 Å, 90.00 90.00 90.00°
Fractional positions:
Pd 0.000 0.000 0.000
Pd 0.000 0.500 0.500
Pd 0.500 0.000 0.500
Pd 0.500 0.500 0.000
N 0.068 0.568 0.932
N 0.068 0.932 0.432
N 0.432 0.068 0.932
N 0.432 0.432 0.432
N 0.568 0.568 0.568
N 0.568 0.932 0.068
N 0.932 0.068 0.568
N 0.932 0.432 0.068



No. 4
The following is a calculated powder XRD pattern of PdN. It was derived from a DFT-relaxed cell (GGA-PBE, the Materials Project), using Cu Kα.
Intensities are scaled so that the largest is 1000.

The 9 most intense peaks (10 to 80 degrees two-theta), in order of rising 2θ:
- 2.741 Å, I 324, hkl 0 0 2
- 2.629 Å, I 1000, hkl 1 0 0
- 2.370 Å, I 19, hkl 1 0 1
- 1.897 Å, I 956, hkl 1 0 2
- 1.518 Å, I 247, hkl 1 1 0
- 1.370 Å, I 57, hkl 0 0 4
- 1.328 Å, I 215, hkl 1 1 2
- 1.314 Å, I 114, hkl 2 0 0
- 1.215 Å, I 177, hkl 1 0 4

Cell and atoms:
Cell: 3.036 3.036 5.482 Å, 90.00 90.00 120.00°
Fractional positions:
Pd 0.000 0.000 0.000
Pd 0.000 0.000 0.500
N 0.333 0.667 0.250
N 0.667 0.333 0.750